# 1
This entry pairs a crystal structure of CrGaAs with its theoretical XRD peak list. Radiation: copper Kα. Structure: a GGA-PBE-relaxed structure.

Most intense lines, 2θ from 5° to 70°, low angle first:
Position (°2θ)	Rel. int.
31.4	48
31.8	49
35.4	36
39.5	91
44.4	77
44.7	100

Structural model:
```
6
Lattice="2.8924 -5.8417 0.0000 2.8924 5.8417 0.0000 -0.6743 0.0000 2.8489" Properties=species:S:1:pos:R:3 pbc="T T T"
Cr 0.0000 0.0000 0.0000
Cr 3.0856 0.0000 0.7165
Ga 1.3694 1.4884 1.7496
Ga 1.3694 -1.4884 1.7496
As 4.4861 1.7918 1.3330
As 4.4861 -1.7918 1.3330
```

=====

# 2
This entry pairs a crystal structure of BIN with its theoretical XRD peak list. Radiation: copper Kα. Structure: a GGA-PBE-relaxed structure.

Most intense lines, 2θ from 5° to 70°, low angle first:
Position (°2θ)	Rel. int.
13.3	26
20.3	53
22.5	100
24.4	19
34.5	43
40.8	25

Structural model:
```
12
Lattice="13.2717 0.0000 0.0000 0.0000 2.7780 0.0000 0.0000 0.0000 8.7534" Properties=species:S:1:pos:R:3 pbc="T T T"
B 0.1367 0.6945 0.6274
B 6.4991 2.0835 5.0041
B 6.7726 0.6945 3.7493
B 13.1350 2.0835 8.1260
I 2.4061 2.0835 4.6405
I 4.2298 0.6945 0.2638
I 9.0419 2.0835 8.4896
I 10.8656 0.6945 4.1129
N 0.2024 2.0835 0.9572
N 6.4334 0.6945 5.3339
N 6.8383 2.0835 3.4195
N 13.0693 0.6945 7.7961
```

=====

# 3
This entry pairs a crystal structure of Li2CoCl4 with its theoretical XRD peak list. Radiation: copper Kα. Structure: a GGA-PBE-relaxed structure.

Most intense lines, 2θ from 5° to 70°, low angle first:
Position (°2θ)	Rel. int.
17.6	71
28.0	100
44.0	13
44.4	21
47.5	35
53.3	24

Structural model:
```
7
Lattice="-2.8875 2.8875 5.1109 2.8875 -2.8875 5.1109 2.8875 2.8875 -5.1109" Properties=species:S:1:pos:R:3 pbc="T T T"
Li 2.8875 0.0000 2.5554
Li 0.0000 2.8875 2.5554
Co 0.0000 0.0000 0.0000
Cl 1.5700 -1.5700 3.8225
Cl 1.3175 1.3175 1.2884
Cl -1.5700 1.5700 3.8225
Cl 1.5700 1.5700 6.3992
```

=====

# 4
This entry pairs a crystal structure of Ce3SnTe with its theoretical XRD peak list. Radiation: copper Kα. Structure: a GGA-PBE-relaxed structure.

Most intense lines, 2θ from 5° to 70°, low angle first:
Position (°2θ)	Rel. int.
11.5	29
30.9	100
32.4	57
33.2	59
33.7	45
35.9	40

Structural model:
```
10
Lattice="4.2236 0.0000 0.0000 -0.1104 7.8870 0.0000 -1.2713 -2.2418 9.2170" Properties=species:S:1:pos:R:3 pbc="T T T"
Ce -0.0400 2.7424 1.6544
Ce -0.0250 6.2615 2.9970
Ce 0.0412 1.6072 5.5289
Ce 2.8007 4.0379 3.6881
Ce 2.8668 -0.6164 6.2200
Ce 2.8819 2.9028 7.5626
Sn 0.7830 0.4368 8.4151
Sn 2.0589 5.2083 0.8019
Te 0.7097 4.8510 5.9769
Te 2.1321 0.7942 3.2401
```

=====

# 5
This entry pairs a crystal structure of TlAs5S8 with its theoretical XRD peak list. Radiation: copper Kα. Structure: a GGA-PBE-relaxed structure.

Most intense lines, 2θ from 5° to 70°, low angle first:
Position (°2θ)	Rel. int.
19.0	78
19.9	70
23.2	82
28.8	91
32.1	100
32.5	63

Structural model:
```
56
Lattice="16.0095 0.0000 0.0000 0.0000 8.1569 0.0000 -0.3629 0.0000 11.4172" Properties=species:S:1:pos:R:3 pbc="T T T"
Tl 3.3640 1.3656 1.8695
Tl 3.1825 2.7129 7.5781
Tl 12.4641 5.4441 3.8391
Tl 12.2826 6.7914 9.5477
As 0.6813 1.4126 4.7062
As 0.4998 2.6659 10.4148
As 1.0899 5.0523 4.4736
As 0.9085 7.1831 10.1822
As 3.8087 5.2687 0.5906
As 3.6273 6.9667 6.2992
As 6.1124 5.9103 4.1183
As 5.9309 6.3251 9.8269
As 6.6977 0.2693 7.0756
As 6.8791 3.8091 1.3670
As 8.7675 4.3478 10.0503
As 8.9489 7.8876 4.3416
As 9.7157 1.8319 1.5904
As 9.5342 2.2466 7.2990
As 12.0193 1.1903 5.1180
As 11.8379 2.8882 10.8266
As 14.7381 0.9738 1.2350
As 14.5567 3.1047 6.9436
As 15.1468 5.4911 1.0025
As 14.9653 6.7443 6.7111
S 0.7878 5.2396 6.7349
S 0.9693 6.9958 1.0262
S 0.8879 0.9267 6.8470
S 1.0693 3.1518 1.1384
S 2.2248 0.9051 10.2942
S 2.4062 3.1733 4.5856
S 2.6399 5.5593 9.9012
S 2.8214 6.6761 4.1926
S 4.8962 0.6726 5.6831
S 4.7147 3.4059 11.3917
S 5.3928 5.4404 6.2634
S 5.5742 6.7950 0.5547
S 5.6303 0.3195 9.1118
S 5.8118 3.7589 3.4032
S 7.4350 1.5887 1.3180
S 7.2535 2.4898 7.0266
S 8.3931 5.6672 4.3906
S 8.2116 6.5682 10.0993
S 9.8348 4.3980 8.0141
S 10.0163 7.8374 2.3054
S 10.0724 1.3619 10.8625
S 10.2538 2.7165 5.1539
S 10.9319 4.7511 0.0255
S 10.7504 7.4843 5.7341
S 12.8252 1.4809 7.2246
S 13.0067 2.5976 1.5160
S 13.2404 4.9836 6.8316
S 13.4218 7.2518 1.1230
S 14.5773 5.0051 10.2788
S 14.7587 7.2303 4.5702
S 14.6773 1.1611 10.3910
S 14.8588 2.9173 4.6824
```

=====

# 6
This entry pairs a crystal structure of La2DyIn12Ni3 with its theoretical XRD peak list. Radiation: copper Kα. Structure: a GGA-PBE-relaxed structure.

Most intense lines, 2θ from 5° to 70°, low angle first:
Position (°2θ)	Rel. int.
30.7	100
32.0	50
34.3	48
36.1	27
38.6	42
60.1	38

Structural model:
```
18
Lattice="4.6673 2.6946 6.4449 -4.6673 2.6946 6.4449 0.0000 -5.3893 6.4449" Properties=species:S:1:pos:R:3 pbc="T T T"
La 0.0000 0.0000 1.4771
La 0.0000 0.0000 17.8574
Dy 0.0000 0.0000 9.6673
In -2.8982 -1.6733 8.9064
In 0.0000 -2.1258 6.8929
In -1.8410 1.0629 6.8929
In 0.0000 -3.3465 10.4281
In -2.8982 1.6733 10.4281
In -1.8410 -1.0629 12.4417
In 1.8410 1.0629 6.8929
In 2.8982 -1.6733 8.9064
In 0.0000 3.3465 8.9064
In 1.8410 -1.0629 12.4417
In 0.0000 2.1258 12.4417
In 2.8982 1.6733 10.4281
Ni -2.3336 -1.3473 6.4449
Ni -2.3336 1.3473 12.8897
Ni 0.0000 2.6946 6.4448
```